# LiNiPO4
Calculated powder diffractogram, Cu Kα (λ = 1.5418 Å). Input: a structure optimized by DFT (PBE+U).

Structure:
Cell: 5.967 6.376 9.355 Å, 73.92 84.31 80.10°
Sites, in units of the cell vectors:
Li: 0.069 0.339 0.170
Li: 0.096 0.830 0.232
Li: 0.904 0.170 0.768
Li: 0.931 0.661 0.830
Ni: 0.305 0.645 0.567
Ni: 0.486 0.923 0.784
Ni: 0.514 0.077 0.216
Ni: 0.695 0.355 0.433
P: 0.215 0.182 0.499
P: 0.339 0.283 0.879
P: 0.661 0.717 0.121
P: 0.785 0.818 0.501
O: 0.030 0.741 0.449
O: 0.195 0.107 0.866
O: 0.225 0.166 0.336
O: 0.230 0.519 0.790
O: 0.303 0.951 0.606
O: 0.338 0.289 0.044
O: 0.368 0.351 0.510
O: 0.419 0.790 0.185
O: 0.581 0.210 0.815
O: 0.632 0.649 0.490
O: 0.662 0.711 0.956
O: 0.697 0.049 0.394
O: 0.770 0.481 0.210
O: 0.775 0.834 0.664
O: 0.805 0.893 0.134
O: 0.970 0.259 0.551

The 8 most intense peaks (15 to 90 degrees two-theta), by angle:
index, 2θ/deg, I_rel
1 0 0, 15.1, 96
1 0 -1, 18.5, 37
1 1 0, 19.4, 27
1 1 1, 19.5, 23
0 1 -2, 27.7, 45
1 2 1, 29.9, 100
1 -1 2, 32.3, 30
1 0 3, 32.9, 22